(1)
Diffraction record for K2Tl5In2. The powder XRD pattern is simulated, not measured: it uses the PBE geometry in Alexandria and CuKα.
Lines closer than 0.1° are merged.

Cell and atoms:
a b c (Å): 17.101 8.643 8.636
angles (deg): 90.00 90.00 90.00
Space group Cmce (No. 64)
Inequivalent atoms, fractional coordinates:
K 0.224 0.000 0.000
Tl 0.000 0.000 0.000
Tl 0.111 0.178 0.320
In 0.000 0.124 0.622

Peak list (10 most intense, 2θ from 5° to 70°, by angle)
Position (°2θ)  d (Å)  I (rel.)  h k l
10.35  8.550  100  2 0 0
23.01  3.865  22  0 2 1
27.90  3.198  33  3 1 2
29.24  3.055  27  0 2 2
29.39  3.039  83  4 0 2
31.20  2.867  62  4 2 1
33.21  2.698  75  1 3 1
35.04  2.561  45  5 1 2
52.27  1.750  29  5 3 3
59.23  1.560  22  9 1 3

***

(2)
Diffraction record for PrGaAu11. The powder XRD pattern is simulated, not measured: it uses the PBE geometry in Alexandria and CuKα.
Lines closer than 0.1° are merged.

Cell and atoms:
a b c (Å): 5.518 13.500 7.173
angles (deg): 90.00 107.97 90.00
Space group C2/m (No. 12)
Inequivalent atoms, fractional coordinates:
Pr 0.000 0.000 0.000
Ga 0.000 0.500 0.500
Au 0.000 0.000 0.500
Au 0.076 0.395 0.218
Au 0.144 0.176 0.349
Au 0.250 0.250 0.000

Peak list (10 most intense, 2θ from 5° to 70°, by angle)
Position (°2θ)  d (Å)  I (rel.)  h k l
31.55  2.835  20  1 3 1
33.18  2.700  22  1 3 -2
36.17  2.483  41  1 1 2
36.74  2.446  28  2 2 0
37.47  2.400  100  0 4 2
38.61  2.332  48  2 2 -2
40.45  2.230  25  2 0 1
41.92  2.155  22  0 2 3
42.36  2.134  54  2 4 -1
65.88  1.418  20  2 6 2

***

(3)
Diffraction record for Pr4Nd2Cd. The powder XRD pattern is simulated, not measured: it uses the PBE geometry in Alexandria and CuKα.
Lines closer than 0.1° are merged.

Cell and atoms:
a b c (Å): 17.159 3.611 8.794
angles (deg): 90.00 117.24 90.00
Space group C2/m (No. 12)
Inequivalent atoms, fractional coordinates:
Pr 0.082 0.000 0.202
Pr 0.128 0.500 0.883
Nd 0.217 0.000 0.640
Cd 0.000 0.000 0.500

Peak list (10 most intense, 2θ from 5° to 70°, by angle)
Position (°2θ)  d (Å)  I (rel.)  h k l
29.45  3.033  100  3 1 -1
30.41  2.939  76  4 0 1
30.76  2.907  67  2 0 -3
32.02  2.795  65  6 0 -2
32.41  2.762  28  1 1 -2
35.31  2.542  25  3 1 1
36.13  2.486  61  1 1 2
60.15  1.538  20  4 2 1
60.35  1.534  20  2 2 -3
61.10  1.517  20  6 2 -2

***

(4)
Diffraction record for HfSi2Ni9. The powder XRD pattern is simulated, not measured: it uses the PBE geometry in Alexandria and CuKα.
Lines closer than 0.1° are merged.

Cell and atoms:
a b c (Å): 3.609 3.609 10.581
angles (deg): 90.00 90.00 90.00
Space group P4/mmm (No. 123)
Inequivalent atoms, fractional coordinates:
Hf 0.000 0.000 0.000
Si 0.000 0.000 0.340
Ni 0.000 0.500 0.182
Ni 0.000 0.500 0.500
Ni 0.500 0.500 0.000
Ni 0.500 0.500 0.341

Peak list (10 most intense, 2θ from 5° to 70°, by angle)
Position (°2θ)  d (Å)  I (rel.)  h k l
8.36  10.581  24  0 0 1
16.76  5.290  6  0 0 2
26.09  3.416  14  1 0 1
29.97  2.981  8  1 0 2
36.21  2.481  7  1 1 1
39.19  2.299  9  1 1 2
42.36  2.134  5  1 0 4
43.79  2.068  100  1 1 3
50.58  1.805  33  2 0 0
51.85  1.763  13  0 0 6

***

(5)
Diffraction record for CaAl2Sn. The powder XRD pattern is simulated, not measured: it uses the PBE geometry in Alexandria and CuKα.
Lines closer than 0.1° are merged.

Cell and atoms:
a b c (Å): 4.444 4.444 4.521
angles (deg): 90.00 90.00 90.00
Space group P4/mmm (No. 123)
Inequivalent atoms, fractional coordinates:
Ca 0.000 0.000 0.000
Al 0.000 0.500 0.500
Sn 0.500 0.500 0.000

Peak list (10 most intense, 2θ from 5° to 70°, by angle)
Position (°2θ)  d (Å)  I (rel.)  h k l
19.63  4.521  25  0 0 1
19.98  4.444  24  1 0 0
28.16  3.169  22  1 0 1
28.40  3.142  21  1 1 0
34.77  2.580  100  1 1 1
39.88  2.261  17  0 0 2
40.60  2.222  32  2 0 0
45.49  1.994  12  2 0 1
58.22  1.585  22  2 0 2
69.13  1.359  13  1 1 3

***

(6)
Diffraction record for Pm3Ge4Ru. The powder XRD pattern is simulated, not measured: it uses the PBE geometry in Alexandria and CuKα.
Lines closer than 0.1° are merged.

Cell and atoms:
a b c (Å): 4.449 5.873 14.883
angles (deg): 90.00 90.00 90.00
Space group Immm (No. 71)
Inequivalent atoms, fractional coordinates:
Pm 0.000 0.000 0.000
Pm 0.000 0.500 0.193
Ge 0.000 0.285 0.378
Ru 0.000 0.000 0.500

Peak list (10 most intense, 2θ from 5° to 70°, by angle)
Position (°2θ)  d (Å)  I (rel.)  h k l
23.47  3.790  23  0 1 3
27.87  3.201  100  1 1 2
34.95  2.567  19  1 1 4
36.31  2.474  36  1 0 5
37.18  2.418  25  1 2 1
39.08  2.305  29  0 2 4
40.56  2.224  30  2 0 0
41.08  2.197  25  1 2 3
52.53  1.742  18  1 3 2
57.59  1.601  18  2 2 4